Theoretical XRD peak list of RbNaCe2Se4 for Cu Kα (weighted mean of Kα1 and Kα2), from DFT lattice parameters and positions (PBE).
Neutral-atom scattering factors, no anomalous dispersion.

Structural model:
Unit cell a=8.766 b=8.984 c=12.592 alpha=90.00 beta=90.00 gamma=90.00
Space group Imma (No. 74)
Unique sites:
Rb (0.250, 0.250, 0.250) x4
Na (0.000, 0.000, 0.000) x4
Ce (0.000, 0.000, 0.500) x4
Ce (0.250, 0.250, 0.750) x4
Se (0.000, 0.029, 0.739) x8
Se (0.234, 0.250, 0.514) x8

Principal peaks in the range 10° ≤ 2θ ≤ 90°, sorted by position:
2theta  I/Imax
12.30  29
28.35  50
28.45  100
40.15  18
40.60  73
41.19  18
49.88  18
50.76  19
66.46  15
66.61  15